[1]
For Cu5Ag3, the GGA-PBE geometry in OQMD gives the calculated X-ray diffraction stick pattern in this record (Cu Kα).
Peak positions follow from Bragg's law for the DFT cell and can differ from measured ones.

Atomic structure:
Lattice parameters (Å, degrees): 5.621 2.780 7.756 90.00 110.94 90.00
Space group P2/m (No. 10)
One atom of each set of equivalent atoms:
Cu 0.000 0.000 0.000 x1
Cu 0.287 0.000 0.507 x2
Cu 0.367 0.500 0.253 x2
Ag 0.102 0.500 0.727 x2
Ag 0.500 0.000 0.000 x1

Top 10 peaks for 2θ from 5° to 70°, sorted by position:
16.95 deg, rel. 5, hkl 1 0 -1
34.76 deg, rel. 7, hkl 1 0 2
36.58 deg, rel. 8, hkl 1 1 0
40.52 deg, rel. 47, hkl 2 0 1
40.74 deg, rel. 51, hkl 2 0 -3
40.92 deg, rel. 100, hkl 0 1 2
45.92 deg, rel. 69, hkl 2 1 -1
50.39 deg, rel. 24, hkl 0 0 4
66.55 deg, rel. 9, hkl 4 0 -2
67.37 deg, rel. 11, hkl 0 2 0


[2]
For CuAg7, the GGA-PBE geometry in OQMD gives the calculated X-ray diffraction stick pattern in this record (Cu Kα).
Peak positions follow from Bragg's law for the DFT cell and can differ from measured ones.

Atomic structure:
Lattice parameters (Å, degrees): 2.918 4.027 11.684 90.00 90.00 90.00
Space group Pmmm (No. 47)
One atom of each set of equivalent atoms:
Cu 0.000 0.000 0.000 x1
Ag 0.000 0.000 0.243 x2
Ag 0.000 0.000 0.500 x1
Ag 0.500 0.500 0.117 x2
Ag 0.500 0.500 0.372 x2

Top 10 peaks for 2θ from 5° to 70°, sorted by position:
7.57 deg, rel. 1, hkl 0 0 1
26.89 deg, rel. 1, hkl 0 1 2
31.97 deg, rel. 1, hkl 0 1 3
38.07 deg, rel. 100, hkl 1 1 0
38.55 deg, rel. 1, hkl 1 0 3
43.86 deg, rel. 33, hkl 1 0 4
45.02 deg, rel. 15, hkl 0 2 0
63.76 deg, rel. 10, hkl 2 0 0
64.67 deg, rel. 19, hkl 1 2 4
68.87 deg, rel. 1, hkl 1 1 7


[3]
For Cu5Ag2, the GGA-PBE geometry in OQMD gives the calculated X-ray diffraction stick pattern in this record (Cu Kα).
Peak positions follow from Bragg's law for the DFT cell and can differ from measured ones.

Atomic structure:
Lattice parameters (Å, degrees): 9.227 2.753 7.457 90.00 90.51 90.00
Space group C2/m (No. 12)
One atom of each set of equivalent atoms:
Cu 0.000 0.000 0.000 x2
Cu 0.047 0.500 0.713 x4
Cu 0.140 0.000 0.460 x4
Ag 0.224 0.500 0.165 x4

Top 10 peaks for 2θ from 5° to 70°, sorted by position:
36.12 deg, rel. 24, hkl 0 0 3
39.05 deg, rel. 6, hkl 4 0 0
41.08 deg, rel. 100, hkl 2 0 -3
41.42 deg, rel. 8, hkl 2 0 3
42.01 deg, rel. 100, hkl 1 1 2
45.81 deg, rel. 78, hkl 3 1 -1
46.09 deg, rel. 6, hkl 4 0 -2
53.15 deg, rel. 18, hkl 2 0 4
65.45 deg, rel. 10, hkl 6 0 -2
68.13 deg, rel. 12, hkl 0 2 0


> Which formula does entry 3 have?

Cu5Ag2